[1]
Diffraction record for U3Fe2. The X-ray diffraction stick pattern is calculated, not measured: it uses a crystal structure in OQMD, relaxed with PBE and Cu Kα (weighted mean of Kα1 and Kα2).
Neutral-atom scattering factors, no anomalous dispersion.

Peak list (10 most intense, 2θ from 10° to 80°, sorted by position)
| Position (°2θ) | I_rel |
| --- | --- |
| 19.5 | 16 |
| 27.6 | 22 |
| 32.7 | 25 |
| 33.8 | 24 |
| 34.3 | 100 |
| 39.7 | 49 |
| 44.4 | 25 |
| 57.8 | 19 |
| 60.7 | 14 |
| 67.9 | 22 |

Crystal structure
Cell lengths 6.4642, 6.4642, 6.4642 Å; angles 59.17, 59.17, 59.17 degrees
Sites, in units of the cell vectors:
U  0.2088  0.7500  0.2912
U  0.2500  0.7088  0.7912
U  0.2912  0.2088  0.7500
U  0.7088  0.7912  0.2500
U  0.7500  0.2912  0.2088
U  0.7912  0.2500  0.7088
Fe  0.1757  0.1757  0.1757
Fe  0.3243  0.3243  0.3243
Fe  0.6757  0.6757  0.6757
Fe  0.8243  0.8243  0.8243



[2]
Diffraction record for PrCd2Cl8. The X-ray diffraction stick pattern is calculated, not measured: it uses a crystal structure in OQMD, relaxed with PBE and Cu Kα (weighted mean of Kα1 and Kα2).
Neutral-atom scattering factors, no anomalous dispersion.

Peak list (10 most intense, 2θ from 10° to 80°, sorted by position)
| Position (°2θ) | I_rel |
| --- | --- |
| 19.8 | 100 |
| 23.7 | 76 |
| 32.1 | 19 |
| 32.4 | 29 |
| 37.0 | 94 |
| 40.1 | 26 |
| 43.7 | 18 |
| 45.1 | 20 |
| 47.1 | 33 |
| 77.9 | 14 |

Crystal structure
Cell lengths 8.3167, 8.3167, 8.3167 Å; angles 135.09, 135.09, 65.39 degrees
Sites, in units of the cell vectors:
Pr  0.0000  0.0000  0.0000
Cd  0.3117  0.3117  0.0000
Cd  0.6883  0.6883  0.0000
Cl  0.0105  0.3917  0.0592
Cl  0.0487  0.9895  0.3812
Cl  0.1715  0.5920  0.8936
Cl  0.3324  0.9513  0.9408
Cl  0.4080  0.3016  0.5796
Cl  0.6083  0.6676  0.6188
Cl  0.6984  0.2779  0.1064
Cl  0.7221  0.8285  0.4204



[3]
Diffraction record for Cd2PHF10. The X-ray diffraction stick pattern is calculated, not measured: it uses a crystal structure in OQMD, relaxed with PBE and Cu Kα (weighted mean of Kα1 and Kα2).
Neutral-atom scattering factors, no anomalous dispersion.

Peak list (10 most intense, 2θ from 10° to 80°, sorted by position)
| Position (°2θ) | I_rel |
| --- | --- |
| 20.1 | 52 |
| 22.9 | 100 |
| 26.3 | 97 |
| 27.6 | 52 |
| 28.7 | 72 |
| 31.0 | 38 |
| 34.5 | 50 |
| 39.8 | 31 |
| 42.2 | 37 |
| 44.6 | 31 |

Crystal structure
Cell lengths 4.2370, 4.5059, 7.9296 Å; angles 89.45, 79.86, 78.70 degrees
Sites, in units of the cell vectors:
Cd  0.1678  0.0666  0.1757
Cd  0.8322  0.9334  0.8243
P  0.5000  0.5000  0.5000
H  0.5000  0.5000  0.0000
F  0.2271  0.7433  0.4237
F  0.2422  0.5013  0.6780
F  0.2663  0.5396  0.0998
F  0.2903  0.0180  0.8814
F  0.3666  0.2292  0.4237
F  0.6334  0.7708  0.5763
F  0.7097  0.9820  0.1186
F  0.7337  0.4604  0.9002
F  0.7578  0.4987  0.3220
F  0.7729  0.2567  0.5763